[1]
Theoretical X-ray diffraction stick pattern of Tb6Pm2Al for Cu Kα (λ = 1.5418 Å), from a GGA-PBE-relaxed structure.
Neutral-atom scattering factors, no anomalous dispersion.

Atomic structure:
Lattice parameters (Å, degrees): 9.8746 9.8746 3.5252 90.20 90.20 56.89
Sites, in units of the cell vectors:
Tb (0.1666, 0.5095, 0.5015)
Tb (0.2170, 0.7830, 0.0000)
Tb (0.4905, 0.8334, 0.4985)
Tb (0.5095, 0.1666, 0.5015)
Tb (0.7830, 0.2170, 0.0000)
Tb (0.8334, 0.4905, 0.4985)
Pm (0.1762, 0.1762, 0.9969)
Pm (0.8238, 0.8238, 0.0031)
Al (0.5000, 0.5000, 0.5000)

Most intense lines, 2θ = 10–80°, most intense first:
2theta, I/Imax
32.5, 100
30.9, 69
33.4, 61
27.5, 35
31.1, 21
31.2, 21
38.1, 19
56.0, 19
27.3, 19
38.0, 18

---

[2]
Theoretical X-ray diffraction stick pattern of Sr2MgCuO4 for Cu Kα (λ = 1.5418 Å), from a GGA-PBE-relaxed structure.
Neutral-atom scattering factors, no anomalous dispersion.

Atomic structure:
Lattice parameters (Å, degrees): 5.3248 5.3248 5.3248 113.56 113.56 101.57
Sites, in units of the cell vectors:
Sr (0.0000, 0.0000, 0.0000)
Sr (0.7500, 0.2500, 0.5000)
Mg (0.2500, 0.7500, 0.5000)
Cu (0.5000, 0.5000, 0.0000)
O (0.2198, 0.1364, 0.5555)
O (0.3358, 0.7802, 0.9166)
O (0.5809, 0.6642, 0.4445)
O (0.8636, 0.4191, 0.0834)

Most intense lines, 2θ = 10–80°, most intense first:
2theta, I/Imax
34.4, 100
56.9, 44
30.6, 41
43.9, 31
63.8, 28
72.5, 18
36.9, 14
20.1, 13
74.5, 9
43.2, 4